[1]
For Na3MgSbS4, a cell relaxed with PBE gives the theoretical X-ray powder pattern in this record (Cu Kα (weighted mean of Kα1 and Kα2)).
Peak positions follow from Bragg's law for the DFT cell and can differ from measured ones.

Largest 12 diffraction maxima, by angle, 10 to 90 degrees two-theta:
d [Å]  intensity
5.713  91
5.165  43
3.535  100
3.077  20
2.940  34
2.857  27
2.424  50
2.290  33
2.195  18
2.063  40
1.999  32
1.714  22

Structural model:
Cell lengths 7.0846, 7.0846, 7.0846 Å; angles 122.11, 122.11, 86.38 degrees
Element x y z (fractional)
Na1 0.0000 0.0000 0.0000
Na2 0.0796 0.5796 0.5000
Na3 0.4204 0.9204 0.5000
Mg1 0.7500 0.2500 0.5000
Sb1 0.5000 0.5000 0.0000
S1 0.1046 0.1787 0.5173
S2 0.4127 0.8954 0.0742
S3 0.6614 0.5873 0.4827
S4 0.8213 0.3386 0.9258



[2]
For Sn3Te, a cell relaxed with PBE gives the theoretical X-ray powder pattern in this record (Cu Kα (weighted mean of Kα1 and Kα2)).
Peak positions follow from Bragg's law for the DFT cell and can differ from measured ones.

Largest 12 diffraction maxima, by angle, 10 to 90 degrees two-theta:
d [Å]  intensity
2.803  100
2.758  24
2.301  29
1.767  26
1.627  10
1.601  19
1.407  25
1.401  12
1.379  3
1.183  7
1.150  3
1.141  14

Structural model:
Cell lengths 4.6018, 4.6018, 11.0330 Å; angles 90.00, 90.00, 90.00 degrees
Element x y z (fractional)
Sn1 0.0000 0.0000 0.0000
Sn2 0.0000 0.5000 0.2500
Sn3 0.0000 0.5000 0.7500
Sn4 0.5000 0.0000 0.2500
Sn5 0.5000 0.0000 0.7500
Sn6 0.5000 0.5000 0.5000
Te1 0.0000 0.0000 0.5000
Te2 0.5000 0.5000 0.0000



[3]
For Ba2TmMgCu4O8, a cell relaxed with PBE gives the theoretical X-ray powder pattern in this record (Cu Kα (weighted mean of Kα1 and Kα2)).
Peak positions follow from Bragg's law for the DFT cell and can differ from measured ones.

Largest 12 diffraction maxima, by angle, 10 to 90 degrees two-theta:
d [Å]  intensity
3.925  16
3.628  18
2.928  24
2.889  37
2.708  100
2.648  84
2.567  27
1.979  26
1.870  26
1.604  17
1.593  17
1.577  19

Structural model:
Cell lengths 3.9589, 3.7393, 15.1108 Å; angles 90.00, 96.76, 90.00 degrees
Element x y z (fractional)
Ba1 0.1131 0.0000 0.2458
Ba2 0.8869 0.0000 0.7542
Tm1 0.0000 0.0000 0.0000
Mg1 0.0000 0.0000 0.5000
Cu1 0.3400 0.5000 0.5918
Cu2 0.4485 0.5000 0.8949
Cu3 0.5515 0.5000 0.1051
Cu4 0.6600 0.5000 0.4082
O1 0.0472 0.5000 0.0956
O2 0.2009 0.5000 0.4458
O3 0.3743 0.5000 0.7166
O4 0.4547 0.0000 0.9071
O5 0.5453 0.0000 0.0929
O6 0.6257 0.5000 0.2834
O7 0.7991 0.5000 0.5542
O8 0.9528 0.5000 0.9044



[4]
For La2Te4O11, a cell relaxed with PBE gives the theoretical X-ray powder pattern in this record (Cu Kα (weighted mean of Kα1 and Kα2)).
Peak positions follow from Bragg's law for the DFT cell and can differ from measured ones.

Largest 12 diffraction maxima, by angle, 10 to 90 degrees two-theta:
d [Å]  intensity
3.477  100
3.132  32
3.100  65
2.749  21
2.681  18
2.284  15
2.037  21
1.941  18
1.919  18
1.751  14
1.743  13
1.739  12

Structural model:
Cell lengths 7.0043, 7.0043, 16.7770 Å; angles 103.43, 103.43, 45.01 degrees
Element x y z (fractional)
La1 0.1287 0.6335 0.9613
La2 0.3665 0.8713 0.5387
La3 0.6335 0.1287 0.4613
La4 0.8713 0.3665 0.0387
Te1 0.0856 0.6481 0.6262
Te2 0.1085 0.6563 0.2995
Te3 0.3437 0.8915 0.2005
Te4 0.3519 0.9144 0.8738
Te5 0.6481 0.0856 0.1262
Te6 0.6563 0.1085 0.7995
Te7 0.8915 0.3437 0.7005
Te8 0.9144 0.3519 0.3738
O1 0.0646 0.8840 0.3974
O2 0.1160 0.9354 0.1026
O3 0.1677 0.2463 0.9434
O4 0.1767 0.3189 0.6281
O5 0.2463 0.1677 0.4434
O6 0.3056 0.4034 0.8296
O7 0.3059 0.5462 0.5471
O8 0.3189 0.1767 0.1281
O9 0.3526 0.6474 0.2500
O10 0.4034 0.3056 0.3296
O11 0.4538 0.6941 0.9529
O12 0.5462 0.3059 0.0471
O13 0.5966 0.6944 0.6704
O14 0.6474 0.3526 0.7500
O15 0.6811 0.8233 0.8719
O16 0.6941 0.4538 0.4529
O17 0.6944 0.5966 0.1704
O18 0.7537 0.8323 0.5566
O19 0.8233 0.6811 0.3719
O20 0.8323 0.7537 0.0566
O21 0.8840 0.0646 0.8974
O22 0.9354 0.1160 0.6026



[5]
For MgMn6Sn6, a cell relaxed with PBE gives the theoretical X-ray powder pattern in this record (Cu Kα (weighted mean of Kα1 and Kα2)).
Peak positions follow from Bragg's law for the DFT cell and can differ from measured ones.

Largest 12 diffraction maxima, by angle, 10 to 90 degrees two-theta:
d [Å]  intensity
3.255  42
2.723  92
2.530  26
2.358  19
2.329  67
2.248  26
2.088  100
2.030  32
1.572  19
1.397  19
1.361  31
1.313  35

Structural model:
Cell lengths 5.4457, 5.4457, 8.9937 Å; angles 90.00, 90.00, 120.00 degrees
Element x y z (fractional)
Mg1 0.0000 0.0000 0.0000
Mn1 0.0000 0.5000 0.2491
Mn2 0.0000 0.5000 0.7509
Mn3 0.5000 0.0000 0.2491
Mn4 0.5000 0.0000 0.7509
Mn5 0.5000 0.5000 0.2491
Mn6 0.5000 0.5000 0.7509
Sn1 0.0000 0.0000 0.3258
Sn2 0.0000 0.0000 0.6742
Sn3 0.3333 0.6667 0.0000
Sn4 0.3333 0.6667 0.5000
Sn5 0.6667 0.3333 0.0000
Sn6 0.6667 0.3333 0.5000



[6]
For LiPtN, a cell relaxed with PBE gives the theoretical X-ray powder pattern in this record (Cu Kα (weighted mean of Kα1 and Kα2)).
Peak positions follow from Bragg's law for the DFT cell and can differ from measured ones.

Largest 12 diffraction maxima, by angle, 10 to 90 degrees two-theta:
d [Å]  intensity
4.748  100
4.232  36
3.405  90
2.868  55
2.716  41
2.608  57
2.374  20
2.100  74
2.011  70
1.783  20
1.428  23
1.278  19

Structural model:
Cell lengths 8.4640, 3.3118, 5.7356 Å; angles 90.00, 90.00, 90.00 degrees
Element x y z (fractional)
Li1 0.1421 0.2500 0.1059
Li2 0.3579 0.7500 0.6059
Li3 0.6421 0.2500 0.3941
Li4 0.8579 0.7500 0.8941
Pt1 0.0833 0.2500 0.6409
Pt2 0.4167 0.7500 0.1409
Pt3 0.5833 0.2500 0.8591
Pt4 0.9167 0.7500 0.3591
N1 0.1185 0.7500 0.8063
N2 0.3815 0.2500 0.3063
N3 0.6185 0.7500 0.6937
N4 0.8815 0.2500 0.1937



[7]
For VFe11C4, a cell relaxed with PBE gives the theoretical X-ray powder pattern in this record (Cu Kα (weighted mean of Kα1 and Kα2)).
Peak positions follow from Bragg's law for the DFT cell and can differ from measured ones.

Largest 12 diffraction maxima, by angle, 10 to 90 degrees two-theta:
d [Å]  intensity
2.380  45
2.235  92
2.101  14
2.022  35
2.017  35
1.958  100
1.951  99
1.649  11
1.629  35
1.245  12
1.230  19
1.228  18

Structural model:
Cell lengths 4.7608, 4.4695, 7.3258 Å; angles 90.00, 90.31, 90.00 degrees
Element x y z (fractional)
V1 0.0000 0.0000 0.0000
Fe1 0.0098 0.5000 0.5306
Fe2 0.3476 0.0000 0.5316
Fe3 0.3695 0.5000 0.9980
Fe4 0.3738 0.0000 0.2072
Fe5 0.4902 0.5000 0.6638
Fe6 0.4928 0.0000 0.8759
Fe7 0.5112 0.5000 0.3435
Fe8 0.8483 0.0000 0.3433
Fe9 0.8726 0.0000 0.6630
Fe10 0.8741 0.5000 0.8706
Fe11 0.9916 0.5000 0.2103
C1 0.1841 0.2588 0.7693
C2 0.1841 0.7412 0.7693
C3 0.6696 0.2638 0.1042
C4 0.6696 0.7362 0.1042